Entry 1:
This entry pairs a crystal structure of NiAg2Hg with its simulated powder diffractogram. Radiation: copper Kα. Structure: a cell relaxed with GGA-PBE.
Neutral-atom scattering factors, no anomalous dispersion.

Atomic structure:
```
NiAg2Hg
1.0
-2.0679 2.0679 3.9780
2.0679 -2.0679 3.9780
2.0679 2.0679 -3.9780
Ni Ag Hg
1 2 1
Cartesian
0.0000 0.0000 0.0000
2.0679 0.0000 1.9890
0.0000 0.0000 3.9780
0.0000 2.0679 1.9890
```

Top 10 peaks for 15 to 90 degrees two-theta, by angle:
2θ = 22.35°, I 7
2θ = 24.25°, I 13
2θ = 38.20°, I 100
2θ = 43.78°, I 34
2θ = 45.61°, I 15
2θ = 63.64°, I 11
2θ = 65.07°, I 20
2θ = 76.70°, I 25
2θ = 79.34°, I 11
2θ = 81.74°, I 11



Entry 2:
This entry pairs a crystal structure of Ni2AgHg2 with its simulated powder diffractogram. Radiation: copper Kα. Structure: a cell relaxed with GGA-PBE.
Neutral-atom scattering factors, no anomalous dispersion.

Atomic structure:
```
Ni2AgHg2
1.0
6.7932 0.0000 0.0000
0.0000 6.7932 0.0000
0.0000 0.0000 3.6715
Ni Ag Hg
4 2 4
Cartesian
0.8462 2.5504 0.0000
2.5504 5.9470 0.0000
4.2428 0.8462 0.0000
5.9470 4.2428 0.0000
0.0000 0.0000 0.0000
3.3966 3.3966 0.0000
1.1682 4.5648 1.8358
2.2284 1.1682 1.8358
4.5648 5.6250 1.8358
5.6250 2.2284 1.8358
```

Top 10 peaks for 15 to 90 degrees two-theta, by angle:
2θ = 29.40°, I 27
2θ = 30.65°, I 11
2θ = 36.02°, I 45
2θ = 38.46°, I 100
2θ = 42.06°, I 35
2θ = 49.66°, I 17
2θ = 55.80°, I 13
2θ = 61.71°, I 18
2θ = 63.37°, I 16
2θ = 67.06°, I 17



Entry 3:
This entry pairs a crystal structure of Ag2HgO2 with its simulated powder diffractogram. Radiation: copper Kα. Structure: a cell relaxed with GGA-PBE.
Neutral-atom scattering factors, no anomalous dispersion.

Atomic structure:
```
Ag2HgO2
1.0
6.3995 0.0000 0.0000
0.0000 6.3995 0.0000
0.0000 0.0000 8.4550
Ag Hg O
8 4 8
Cartesian
0.0055 1.5701 1.0369
1.5701 0.0055 7.4180
1.6297 3.2052 7.3782
3.1942 4.7698 5.3043
3.2052 1.6297 1.0768
4.7698 3.1942 3.1507
4.8294 6.3940 3.1905
6.3940 4.8294 5.2644
1.3975 1.3975 4.2275
1.8022 4.5973 2.1137
4.5973 1.8022 6.3412
5.0019 5.0019 0.0000
0.8092 1.6114 6.2218
1.5883 4.0089 4.1081
1.6114 0.8092 2.2332
2.3905 4.8111 0.1194
4.0089 1.5883 4.3469
4.7881 5.5903 6.4606
4.8111 2.3905 8.3355
5.5903 4.7881 1.9943
```

Top 10 peaks for 15 to 90 degrees two-theta, by angle:
2θ = 27.88°, I 29
2θ = 28.90°, I 36
2θ = 33.04°, I 100
2θ = 34.78°, I 50
2θ = 35.18°, I 40
2θ = 49.97°, I 16
2θ = 52.70°, I 25
2θ = 53.91°, I 17
2θ = 56.26°, I 17
2θ = 59.88°, I 25



Entry 4:
This entry pairs a crystal structure of Ag8HgO6 with its simulated powder diffractogram. Radiation: copper Kα. Structure: a cell relaxed with GGA-PBE.
Neutral-atom scattering factors, no anomalous dispersion.

Atomic structure:
```
Ag8HgO6
1.0
4.7998 2.7711 2.9382
-4.7998 2.7711 2.9382
0.0000 -5.5423 2.9382
Ag Hg O
8 1 6
Cartesian
-1.0381 -2.3201 2.6914
0.0000 0.0000 1.4327
-1.4903 2.0591 2.6914
-2.5283 -0.2611 6.1233
2.5283 0.2611 2.6914
1.4903 -2.0591 6.1233
0.0000 0.0000 7.3820
1.0381 2.3201 6.1233
0.0000 0.0000 4.4074
-2.7640 -1.7046 4.6030
-2.8582 1.5414 4.2117
0.0942 -3.2460 4.2117
-0.0942 3.2460 4.6030
2.8582 -1.5414 4.6030
2.7640 1.7046 4.2117
```

Top 10 peaks for 15 to 90 degrees two-theta, by angle:
2θ = 30.20°, I 52
2θ = 32.31°, I 68
2θ = 35.07°, I 50
2θ = 35.83°, I 100
2θ = 49.01°, I 34
2θ = 50.30°, I 24
2θ = 50.59°, I 12
2θ = 59.92°, I 15
2θ = 66.56°, I 19
2θ = 75.93°, I 15